Dy3In5: computed powder diffraction line list (Cu Kα X-rays), based on a cell relaxed with PBE.
Peak positions follow from Bragg's law for the DFT cell and can differ from measured ones.

The 10 most intense peaks (2θ = 5–70°), most intense first:
2θ 33.57, I 100
2θ 34.71, I 60
2θ 36.37, I 24
2θ 34.16, I 20
2θ 39.48, I 18
2θ 38.96, I 18
2θ 67.29, I 17
2θ 57.98, I 14
2θ 29.93, I 13
2θ 51.16, I 13

Atomic structure:
```
data_Dy3In5
_chemical_formula_sum 'Dy12 In20'
_symmetry_space_group_name_H-M 'C m c m'
_symmetry_Int_Tables_number 63
_symmetry_space_group_name_Hall '-C 2c 2'
_cell_length_a 9.8814
_cell_length_b 8.0393
_cell_length_c 10.3328
_cell_angle_alpha 90.00
_cell_angle_beta 90.00
_cell_angle_gamma 90.00
loop_
_atom_site_label
_atom_site_fract_x
_atom_site_fract_y
_atom_site_fract_z
Dy1 0.0000 0.1180 0.2500
Dy2 0.2050 0.5000 0.0000
In1 0.0000 0.1936 0.5441
In2 0.0000 0.4952 0.7500
In3 0.2181 0.2107 0.7500
```

=====

DyIn5: computed powder diffraction line list (Cu Kα X-rays), based on a cell relaxed with PBE.
Peak positions follow from Bragg's law for the DFT cell and can differ from measured ones.

The 10 most intense peaks (2θ = 5–70°), most intense first:
2θ 34.72, I 100
2θ 36.32, I 35
2θ 55.75, I 33
2θ 29.49, I 32
2θ 61.19, I 28
2θ 52.31, I 13
2θ 69.37, I 5
2θ 42.19, I 3
2θ 17.93, I 2
2θ 20.73, I 1

Atomic structure:
```
data_DyIn5
_chemical_formula_sum 'Dy4 In20'
_symmetry_space_group_name_H-M 'F -4 3 m'
_symmetry_Int_Tables_number 216
_symmetry_space_group_name_Hall 'F -4 2 3'
_cell_length_a 8.5681
_cell_length_b 8.5681
_cell_length_c 8.5681
_cell_angle_alpha 90.00
_cell_angle_beta 90.00
_cell_angle_gamma 90.00
loop_
_atom_site_label
_atom_site_fract_x
_atom_site_fract_y
_atom_site_fract_z
Dy1 0.0000 0.0000 0.0000
In1 0.1249 0.1249 0.6249
In2 0.2500 0.2500 0.2500
```

=====

Dy3In3IrPt: computed powder diffraction line list (Cu Kα X-rays), based on a cell relaxed with PBE.
Peak positions follow from Bragg's law for the DFT cell and can differ from measured ones.

The 10 most intense peaks (2θ = 5–70°), most intense first:
2θ 33.84, I 100
2θ 36.53, I 68
2θ 35.85, I 67
2θ 49.63, I 33
2θ 13.36, I 27
2θ 62.76, I 26
2θ 69.92, I 23
2θ 40.86, I 20
2θ 55.95, I 20
2θ 66.58, I 18

Atomic structure:
```
data_Dy3In3IrPt
_chemical_formula_sum 'Dy3 In3 Ir1 Pt1'
_symmetry_space_group_name_H-M 'P -6'
_symmetry_Int_Tables_number 174
_cell_length_a 7.6515
_cell_length_b 7.6515
_cell_length_c 3.6715
_cell_angle_alpha 90.00
_cell_angle_beta 90.00
_cell_angle_gamma 120.00
loop_
_symmetry_equiv_pos_as_xyz
'x,y,z'
'-x+y,-x,-z'
'-y,x-y,z'
'x,y,-z'
'-x+y,-x,z'
'-y,x-y,-z'
loop_
_atom_site_label
_atom_site_fract_x
_atom_site_fract_y
_atom_site_fract_z
Dy1 0.0074 0.4243 0.0000
In1 0.0022 0.7675 0.5000
Ir1 0.3333 0.6667 0.5000
Pt1 0.6667 0.3333 0.5000
```

=====

DyTm2In3Ir2: computed powder diffraction line list (Cu Kα X-rays), based on a cell relaxed with PBE.
Peak positions follow from Bragg's law for the DFT cell and can differ from measured ones.

The 10 most intense peaks (2θ = 5–70°), most intense first:
2θ 34.21, I 100
2θ 36.92, I 71
2θ 36.14, I 46
2θ 13.47, I 29
2θ 63.53, I 26
2θ 36.22, I 22
2θ 50.33, I 17
2θ 56.48, I 14
2θ 44.20, I 13
2θ 41.25, I 13

Atomic structure:
```
data_DyTm2In3Ir2
_chemical_formula_sum 'Dy2 Tm4 In6 Ir4'
_symmetry_space_group_name_H-M 'A m m 2'
_symmetry_Int_Tables_number 38
_cell_length_a 3.6257
_cell_length_b 13.1645
_cell_length_c 7.5758
_cell_angle_alpha 90.00
_cell_angle_beta 90.00
_cell_angle_gamma 90.00
loop_
_symmetry_equiv_pos_as_xyz
'x,y,z'
'-x,-y,z'
'-x,y,z'
'x,-y,z'
'x,y+1/2,z+1/2'
'-x,-y+1/2,z+1/2'
'-x,y+1/2,z+1/2'
'x,-y+1/2,z+1/2'
loop_
_atom_site_label
_atom_site_fract_x
_atom_site_fract_y
_atom_site_fract_z
Dy1 0.0000 0.0000 0.0000
Tm1 0.0000 0.2112 0.3671
In1 0.5000 0.0000 0.3445
In2 0.5000 0.1181 0.6952
Ir1 0.5000 0.1679 0.0791
```

=====

Dy2YIn3Ir2: computed powder diffraction line list (Cu Kα X-rays), based on a cell relaxed with PBE.
Peak positions follow from Bragg's law for the DFT cell and can differ from measured ones.

The 10 most intense peaks (2θ = 5–70°), most intense first:
2θ 33.87, I 100
2θ 36.08, I 70
2θ 36.59, I 69
2θ 13.44, I 31
2θ 62.72, I 27
2θ 41.13, I 21
2θ 43.89, I 19
2θ 49.44, I 18
2θ 66.90, I 13
2θ 56.18, I 11

Atomic structure:
```
data_Dy2YIn3Ir2
_chemical_formula_sum 'Dy4 Y2 In6 Ir4'
_symmetry_space_group_name_H-M 'A m m 2'
_symmetry_Int_Tables_number 38
_cell_length_a 3.6871
_cell_length_b 13.1875
_cell_length_c 7.5934
_cell_angle_alpha 90.00
_cell_angle_beta 90.00
_cell_angle_gamma 90.00
loop_
_symmetry_equiv_pos_as_xyz
'x,y,z'
'-x,-y,z'
'-x,y,z'
'x,-y,z'
'x,y+1/2,z+1/2'
'-x,-y+1/2,z+1/2'
'-x,y+1/2,z+1/2'
'x,-y+1/2,z+1/2'
loop_
_atom_site_label
_atom_site_fract_x
_atom_site_fract_y
_atom_site_fract_z
Dy1 0.0000 0.2109 0.0000
Y1 0.0000 0.0000 0.3684
In1 0.5000 0.0000 0.0243
In2 0.5000 0.1175 0.6715
Ir1 0.5000 0.1682 0.2886
```

=====

DyZr2In3Ir2: computed powder diffraction line list (Cu Kα X-rays), based on a cell relaxed with PBE.
Peak positions follow from Bragg's law for the DFT cell and can differ from measured ones.

The 10 most intense peaks (2θ = 5–70°), most intense first:
2θ 35.37, I 100
2θ 38.14, I 69
2θ 35.85, I 45
2θ 35.56, I 45
2θ 36.35, I 40
2θ 36.04, I 38
2θ 13.50, I 36
2θ 37.89, I 31
2θ 53.99, I 23
2θ 26.23, I 22

Atomic structure:
```
data_DyZr2In3Ir2
_chemical_formula_sum 'Dy2 Zr4 In6 Ir4'
_symmetry_space_group_name_H-M 'A m m 2'
_symmetry_Int_Tables_number 38
_cell_length_a 3.3970
_cell_length_b 13.2790
_cell_length_c 7.5455
_cell_angle_alpha 90.00
_cell_angle_beta 90.00
_cell_angle_gamma 90.00
loop_
_symmetry_equiv_pos_as_xyz
'x,y,z'
'-x,-y,z'
'-x,y,z'
'x,-y,z'
'x,y+1/2,z+1/2'
'-x,-y+1/2,z+1/2'
'-x,y+1/2,z+1/2'
'x,-y+1/2,z+1/2'
loop_
_atom_site_label
_atom_site_fract_x
_atom_site_fract_y
_atom_site_fract_z
Dy1 0.0000 0.0000 0.0000
Zr1 0.0000 0.2120 0.3686
In1 0.5000 0.0000 0.3521
In2 0.5000 0.1180 0.6943
Ir1 0.5000 0.1722 0.0837
```

=====

LaDyIn5: computed powder diffraction line list (Cu Kα X-rays), based on a cell relaxed with PBE.
Peak positions follow from Bragg's law for the DFT cell and can differ from measured ones.

The 10 most intense peaks (2θ = 5–70°), most intense first:
2θ 33.65, I 100
2θ 37.32, I 39
2θ 64.97, I 29
2θ 57.69, I 18
2θ 53.80, I 13
2θ 42.34, I 12
2θ 18.41, I 10
2θ 21.17, I 8
2θ 27.92, I 7
2θ 28.19, I 6

Atomic structure:
```
data_LaDyIn5
_chemical_formula_sum 'La1 Dy1 In5'
_symmetry_space_group_name_H-M 'P 4/m m m'
_symmetry_Int_Tables_number 123
_symmetry_space_group_name_Hall '-P 4 2'
_cell_length_a 4.8195
_cell_length_b 4.8195
_cell_length_c 8.5384
_cell_angle_alpha 90.00
_cell_angle_beta 90.00
_cell_angle_gamma 90.00
loop_
_atom_site_label
_atom_site_fract_x
_atom_site_fract_y
_atom_site_fract_z
La1 0.0000 0.0000 0.0000
Dy1 0.0000 0.0000 0.5000
In1 0.0000 0.5000 0.2728
In2 0.5000 0.5000 0.0000
```

=====

LaDyIn2Ni4: computed powder diffraction line list (Cu Kα X-rays), based on a cell relaxed with PBE.
Peak positions follow from Bragg's law for the DFT cell and can differ from measured ones.

The 10 most intense peaks (2θ = 5–70°), most intense first:
2θ 30.63, I 100
2θ 37.82, I 62
2θ 44.67, I 35
2θ 34.43, I 33
2θ 41.88, I 29
2θ 43.19, I 28
2θ 43.05, I 27
2θ 33.52, I 27
2θ 47.75, I 19
2θ 62.89, I 17

Atomic structure:
```
data_LaDyIn2Ni4
_chemical_formula_sum 'La1 Dy1 In2 Ni4'
_symmetry_space_group_name_H-M 'P m m 2'
_symmetry_Int_Tables_number 25
_cell_length_a 4.0574
_cell_length_b 5.2092
_cell_length_c 7.1088
_cell_angle_alpha 90.00
_cell_angle_beta 90.00
_cell_angle_gamma 90.00
loop_
_symmetry_equiv_pos_as_xyz
'x,y,z'
'-x,-y,z'
'-x,y,z'
'x,-y,z'
loop_
_atom_site_label
_atom_site_fract_x
_atom_site_fract_y
_atom_site_fract_z
La1 0.0000 0.0000 0.0000
Dy1 0.0000 0.5000 0.4668
In1 0.5000 0.0000 0.3882
In2 0.5000 0.5000 0.0895
Ni1 0.0000 0.0000 0.6211
Ni2 0.0000 0.5000 0.8441
Ni3 0.5000 0.2581 0.7254
```

=====

LiDy4In5: computed powder diffraction line list (Cu Kα X-rays), based on a cell relaxed with PBE.
Peak positions follow from Bragg's law for the DFT cell and can differ from measured ones.

The 10 most intense peaks (2θ = 5–70°), most intense first:
2θ 33.74, I 100
2θ 36.13, I 51
2θ 63.45, I 32
2θ 30.95, I 24
2θ 52.03, I 18
2θ 54.99, I 16
2θ 58.75, I 10
2θ 40.00, I 10
2θ 67.58, I 8
2θ 61.77, I 7

Atomic structure:
```
data_LiDy4In5
_chemical_formula_sum 'Li1 Dy4 In5'
_symmetry_space_group_name_H-M 'P 4/m m m'
_symmetry_Int_Tables_number 123
_symmetry_space_group_name_Hall '-P 4 2'
_cell_length_a 3.5156
_cell_length_b 3.5156
_cell_length_c 20.2850
_cell_angle_alpha 90.00
_cell_angle_beta 90.00
_cell_angle_gamma 90.00
loop_
_atom_site_label
_atom_site_fract_x
_atom_site_fract_y
_atom_site_fract_z
Li1 0.0000 0.0000 0.0000
Dy1 0.0000 0.0000 0.1827
Dy2 0.0000 0.0000 0.3940
In1 0.5000 0.5000 0.0777
In2 0.5000 0.5000 0.2880
In3 0.5000 0.5000 0.5000
```

=====

DyLuIn4Ni2: computed powder diffraction line list (Cu Kα X-rays), based on a cell relaxed with PBE.
Peak positions follow from Bragg's law for the DFT cell and can differ from measured ones.

The 10 most intense peaks (2θ = 5–70°), most intense first:
2θ 33.05, I 100
2θ 35.43, I 60
2θ 42.06, I 34
2θ 33.24, I 30
2θ 36.68, I 28
2θ 40.39, I 28
2θ 66.68, I 24
2θ 59.73, I 17
2θ 62.24, I 17
2θ 41.41, I 17

Atomic structure:
```
data_DyLuIn4Ni2
_chemical_formula_sum 'Dy2 Lu2 In8 Ni4'
_symmetry_space_group_name_H-M 'A m m 2'
_symmetry_Int_Tables_number 38
_cell_length_a 7.4203
_cell_length_b 4.2965
_cell_length_c 10.3838
_cell_angle_alpha 90.00
_cell_angle_beta 90.00
_cell_angle_gamma 90.00
loop_
_symmetry_equiv_pos_as_xyz
'x,y,z'
'-x,-y,z'
'-x,y,z'
'x,-y,z'
'x,y+1/2,z+1/2'
'-x,-y+1/2,z+1/2'
'-x,y+1/2,z+1/2'
'x,-y+1/2,z+1/2'
loop_
_atom_site_label
_atom_site_fract_x
_atom_site_fract_y
_atom_site_fract_z
Dy1 0.0000 0.0000 0.0000
Lu1 0.5000 0.0000 0.1346
In1 0.2016 0.0000 0.7101
In2 0.3008 0.0000 0.4241
Ni1 0.0000 0.0000 0.2833
Ni2 0.5000 0.0000 0.8529
```

=====

DyLuIn2Ni4: computed powder diffraction line list (Cu Kα X-rays), based on a cell relaxed with PBE.
Peak positions follow from Bragg's law for the DFT cell and can differ from measured ones.

The 10 most intense peaks (2θ = 5–70°), most intense first:
2θ 31.29, I 100
2θ 38.63, I 53
2θ 45.46, I 33
2θ 42.81, I 33
2θ 34.15, I 33
2θ 35.45, I 31
2θ 44.21, I 25
2θ 44.31, I 25
2θ 64.22, I 19
2θ 48.78, I 17

Atomic structure:
```
data_DyLuIn2Ni4
_chemical_formula_sum 'Dy1 Lu1 In2 Ni4'
_symmetry_space_group_name_H-M 'P m m 2'
_symmetry_Int_Tables_number 25
_cell_length_a 3.9905
_cell_length_b 5.0644
_cell_length_c 6.9716
_cell_angle_alpha 90.00
_cell_angle_beta 90.00
_cell_angle_gamma 90.00
loop_
_symmetry_equiv_pos_as_xyz
'x,y,z'
'-x,-y,z'
'-x,y,z'
'x,-y,z'
loop_
_atom_site_label
_atom_site_fract_x
_atom_site_fract_y
_atom_site_fract_z
Dy1 0.0000 0.0000 0.0000
Lu1 0.0000 0.5000 0.4725
In1 0.5000 0.0000 0.3777
In2 0.5000 0.5000 0.0927
Ni1 0.0000 0.0000 0.6190
Ni2 0.0000 0.5000 0.8467
Ni3 0.5000 0.2525 0.7313
```

=====

DyLu2In3Pt2: computed powder diffraction line list (Cu Kα X-rays), based on a cell relaxed with PBE.
Peak positions follow from Bragg's law for the DFT cell and can differ from measured ones.

The 10 most intense peaks (2θ = 5–70°), most intense first:
2θ 34.30, I 100
2θ 36.95, I 70
2θ 35.76, I 48
2θ 13.34, I 28
2θ 35.90, I 22
2θ 63.89, I 17
2θ 51.06, I 16
2θ 40.86, I 13
2θ 66.70, I 12
2θ 44.05, I 9

Atomic structure:
```
data_DyLu2In3Pt2
_chemical_formula_sum 'Dy2 Lu4 In6 Pt4'
_symmetry_space_group_name_H-M 'A m m 2'
_symmetry_Int_Tables_number 38
_cell_length_a 3.5776
_cell_length_b 13.3069
_cell_length_c 7.6408
_cell_angle_alpha 90.00
_cell_angle_beta 90.00
_cell_angle_gamma 90.00
loop_
_symmetry_equiv_pos_as_xyz
'x,y,z'
'-x,-y,z'
'-x,y,z'
'x,-y,z'
'x,y+1/2,z+1/2'
'-x,-y+1/2,z+1/2'
'-x,y+1/2,z+1/2'
'x,-y+1/2,z+1/2'
loop_
_atom_site_label
_atom_site_fract_x
_atom_site_fract_y
_atom_site_fract_z
Dy1 0.0000 0.0000 0.0000
Lu1 0.0000 0.2110 0.3681
In1 0.5000 0.0000 0.3497
In2 0.5000 0.1164 0.6937
Pt1 0.5000 0.1694 0.0804
```

=====

Dy2LuIn3Pt2: computed powder diffraction line list (Cu Kα X-rays), based on a cell relaxed with PBE.
Peak positions follow from Bragg's law for the DFT cell and can differ from measured ones.

The 10 most intense peaks (2θ = 5–70°), most intense first:
2θ 34.07, I 100
2θ 35.72, I 69
2θ 36.73, I 69
2θ 13.31, I 28
2θ 63.40, I 26
2θ 69.84, I 23
2θ 55.97, I 21
2θ 40.70, I 19
2θ 66.52, I 17
2θ 50.52, I 17

Atomic structure:
```
data_Dy2LuIn3Pt2
_chemical_formula_sum 'Dy4 Lu2 In6 Pt4'
_symmetry_space_group_name_H-M 'A m m 2'
_symmetry_Int_Tables_number 38
_cell_length_a 3.6134
_cell_length_b 13.3021
_cell_length_c 7.6798
_cell_angle_alpha 90.00
_cell_angle_beta 90.00
_cell_angle_gamma 90.00
loop_
_symmetry_equiv_pos_as_xyz
'x,y,z'
'-x,-y,z'
'-x,y,z'
'x,-y,z'
'x,y+1/2,z+1/2'
'-x,-y+1/2,z+1/2'
'-x,y+1/2,z+1/2'
'x,-y+1/2,z+1/2'
loop_
_atom_site_label
_atom_site_fract_x
_atom_site_fract_y
_atom_site_fract_z
Dy1 0.0000 0.2104 0.0000
Lu1 0.0000 0.0000 0.6324
In1 0.5000 0.0000 0.9780
In2 0.5000 0.1147 0.3265
Pt1 0.5000 0.1631 0.7086
```

=====

Nd2DyMg3In3: computed powder diffraction line list (Cu Kα X-rays), based on a cell relaxed with PBE.
Peak positions follow from Bragg's law for the DFT cell and can differ from measured ones.

The 10 most intense peaks (2θ = 5–70°), most intense first:
2θ 32.96, I 100
2θ 30.13, I 57
2θ 33.20, I 54
2θ 37.98, I 37
2θ 26.88, I 25
2θ 29.93, I 25
2θ 40.82, I 23
2θ 23.38, I 19
2θ 18.73, I 18
2θ 23.12, I 18

Atomic structure:
```
data_Nd2DyMg3In3
_chemical_formula_sum 'Nd4 Dy2 Mg6 In6'
_symmetry_space_group_name_H-M 'A m m 2'
_symmetry_Int_Tables_number 38
_cell_length_a 4.7382
_cell_length_b 13.1337
_cell_length_c 7.6875
_cell_angle_alpha 90.00
_cell_angle_beta 90.00
_cell_angle_gamma 90.00
loop_
_symmetry_equiv_pos_as_xyz
'x,y,z'
'-x,-y,z'
'-x,y,z'
'x,-y,z'
'x,y+1/2,z+1/2'
'-x,-y+1/2,z+1/2'
'-x,y+1/2,z+1/2'
'x,-y+1/2,z+1/2'
loop_
_atom_site_label
_atom_site_fract_x
_atom_site_fract_y
_atom_site_fract_z
Nd1 0.0000 0.2163 0.0000
Dy1 0.0000 0.0000 0.6484
Mg1 0.5000 0.0000 0.9773
Mg2 0.5000 0.1206 0.3381
In1 0.0000 0.0000 0.2237
In2 0.5000 0.1636 0.7161
```